No. 1
Calculated X-ray powder pattern
Compound: PmGaF
Radiation: Cu Ka
Structure: a cell relaxed with GGA-PBE
Lines closer than 0.1° are merged.

Principal peaks in the range 5 to 70 degrees two-theta, in order of rising 2θ:
d_spacing	I_rel	(hkl)
3.196	68.6	1 0 1
3.112	28.9	0 0 3
2.749	95.3	1 0 2
2.405	100.0	1 1 0
2.296	86.5	1 0 3
1.903	28.7	1 1 3
1.701	33.9	2 0 0
1.475	27.4	1 1 5
1.446	27.4	2 1 2
1.367	30.9	2 1 3

Structural model:
```
data_PmGaF
_cell_length_a 3.402
_cell_length_b 3.402
_cell_length_c 9.335
_cell_angle_alpha 90.00
_cell_angle_beta 90.00
_cell_angle_gamma 90.00
_space_group_name_H-M_alt 'P 1'
_space_group_IT_number 1
loop_
_space_group_symop_operation_xyz
'x,y,z'
loop_
_atom_site_label
_atom_site_type_symbol
_atom_site_fract_x
_atom_site_fract_y
_atom_site_fract_z
_atom_site_occupancy
Pm1 Pm 0.250 0.250 0.196 1
Pm2 Pm 0.750 0.750 0.804 1
Ga1 Ga 0.250 0.250 0.577 1
Ga2 Ga 0.750 0.750 0.423 1
F1 F 0.250 0.250 0.931 1
F2 F 0.750 0.750 0.069 1
```

=====

No. 2
Calculated X-ray powder pattern
Compound: La8Ag2Os3
Radiation: Cu Ka
Structure: a cell relaxed with GGA-PBE
Lines closer than 0.1° are merged.

Principal peaks in the range 5 to 70 degrees two-theta, in order of rising 2θ:
d_spacing	I_rel	(hkl)
7.580	26.6	1 0 -1
4.221	17.9	2 0 0
2.608	100.0	1 1 -3
2.541	50.1	0 2 0
2.067	12.5	4 1 -2
1.895	7.7	4 0 -4
1.797	17.7	2 2 2
1.519	11.3	2 0 -6
1.480	26.4	1 3 -3
1.478	8.6	5 1 1

Structural model:
```
data_La8Ag2Os3
_cell_length_a 9.117
_cell_length_b 5.082
_cell_length_c 9.133
_cell_angle_alpha 90.00
_cell_angle_beta 112.32
_cell_angle_gamma 90.00
_space_group_name_H-M_alt 'P 1'
_space_group_IT_number 1
loop_
_space_group_symop_operation_xyz
'x,y,z'
loop_
_atom_site_label
_atom_site_type_symbol
_atom_site_fract_x
_atom_site_fract_y
_atom_site_fract_z
_atom_site_occupancy
La1 La 0.108 0.000 0.391 1
La2 La 0.142 0.500 0.864 1
La3 La 0.363 0.500 0.642 1
La4 La 0.386 0.000 0.114 1
La5 La 0.614 0.000 0.886 1
La6 La 0.637 0.500 0.358 1
La7 La 0.858 0.500 0.136 1
La8 La 0.892 0.000 0.609 1
Ag1 Ag 0.246 0.500 0.255 1
Ag2 Ag 0.754 0.500 0.745 1
Os1 Os 0.247 0.000 0.747 1
Os2 Os 0.500 0.500 0.000 1
Os3 Os 0.753 0.000 0.253 1
```

=====

No. 3
Calculated X-ray powder pattern
Compound: NaHoIn
Radiation: Cu Ka
Structure: a cell relaxed with GGA-PBE
Lines closer than 0.1° are merged.

Principal peaks in the range 5 to 70 degrees two-theta, in order of rising 2θ:
d_spacing	I_rel	(hkl)
4.576	46.0	1 0 0
2.695	100.0	0 1 1
2.642	72.0	1 1 0
2.288	7.7	2 0 0
1.887	35.0	2 0 1
1.730	6.6	2 1 0
1.668	5.9	0 0 2
1.535	35.6	1 2 1
1.525	13.1	3 0 0
1.410	20.0	1 1 2

Structural model:
```
data_NaHoIn
_cell_length_a 5.284
_cell_length_b 5.284
_cell_length_c 3.335
_cell_angle_alpha 90.00
_cell_angle_beta 90.00
_cell_angle_gamma 120.00
_space_group_name_H-M_alt 'P 1'
_space_group_IT_number 1
loop_
_space_group_symop_operation_xyz
'x,y,z'
loop_
_atom_site_label
_atom_site_type_symbol
_atom_site_fract_x
_atom_site_fract_y
_atom_site_fract_z
_atom_site_occupancy
Na1 Na 0.000 0.000 0.000 1
Ho1 Ho 0.333 0.667 0.498 1
In1 In 0.667 0.333 0.996 1
```

=====

No. 4
Calculated X-ray powder pattern
Compound: Nd3HoEr6
Radiation: Cu Ka
Structure: a cell relaxed with GGA-PBE
Lines closer than 0.1° are merged.

Principal peaks in the range 5 to 70 degrees two-theta, in order of rising 2θ:
d_spacing	I_rel	(hkl)
3.146	15.1	0 1 2
3.056	100.0	2 1 0
2.925	37.5	0 0 3
2.836	29.7	0 1 -3
2.810	43.6	0 2 -1
2.799	22.6	2 2 1
2.755	28.4	2 0 2
2.636	38.0	-1 1 1
2.607	78.3	2 1 3
1.824	17.7	2 1 -3

Structural model:
```
data_Nd3HoEr6
_cell_length_a 6.506
_cell_length_b 6.516
_cell_length_c 9.512
_cell_angle_alpha 89.84
_cell_angle_beta 70.34
_cell_angle_gamma 60.26
_space_group_name_H-M_alt 'P 1'
_space_group_IT_number 1
loop_
_space_group_symop_operation_xyz
'x,y,z'
loop_
_atom_site_label
_atom_site_type_symbol
_atom_site_fract_x
_atom_site_fract_y
_atom_site_fract_z
_atom_site_occupancy
Nd1 Nd 0.000 0.000 0.000 1
Nd2 Nd 0.299 0.557 0.690 1
Nd3 Nd 0.701 0.443 0.310 1
Ho1 Ho 0.000 0.500 0.500 1
Er1 Er 0.126 0.866 0.315 1
Er2 Er 0.305 0.349 0.051 1
Er3 Er 0.450 0.989 0.686 1
Er4 Er 0.550 0.011 0.314 1
Er5 Er 0.695 0.651 0.949 1
Er6 Er 0.874 0.134 0.685 1
```

=====

No. 5
Calculated X-ray powder pattern
Compound: RbCd2H6
Radiation: Cu Ka
Structure: a cell relaxed with GGA-PBE
Lines closer than 0.1° are merged.

Principal peaks in the range 5 to 70 degrees two-theta, in order of rising 2θ:
d_spacing	I_rel	(hkl)
5.651	21.1	0 0 1
3.604	100.0	1 0 1
2.826	23.3	0 0 2
2.701	58.1	1 1 0
2.437	18.8	1 1 1
2.161	26.7	2 0 1
1.952	44.4	1 1 2
1.747	12.6	1 0 3
1.687	22.2	2 1 1
1.365	13.3	3 0 2

Structural model:
```
data_RbCd2H6
_cell_length_a 5.402
_cell_length_b 5.402
_cell_length_c 5.651
_cell_angle_alpha 90.00
_cell_angle_beta 90.00
_cell_angle_gamma 120.00
_space_group_name_H-M_alt 'P 1'
_space_group_IT_number 1
loop_
_space_group_symop_operation_xyz
'x,y,z'
loop_
_atom_site_label
_atom_site_type_symbol
_atom_site_fract_x
_atom_site_fract_y
_atom_site_fract_z
_atom_site_occupancy
Rb1 Rb 0.000 0.000 0.000 1
Cd1 Cd 0.333 0.667 0.500 1
Cd2 Cd 0.667 0.333 0.500 1
H1 H 0.000 0.500 0.069 1
H2 H 0.000 0.500 0.931 1
H3 H 0.500 0.000 0.069 1
H4 H 0.500 0.000 0.931 1
H5 H 0.500 0.500 0.069 1
H6 H 0.500 0.500 0.931 1
```

=====

No. 6
Calculated X-ray powder pattern
Compound: Nd2Ni5Ir5
Radiation: Cu Ka
Structure: a cell relaxed with GGA-PBE
Lines closer than 0.1° are merged.

Principal peaks in the range 5 to 70 degrees two-theta, in order of rising 2θ:
d_spacing	I_rel	(hkl)
3.027	52.6	1 1 1
3.008	70.0	1 0 2
2.268	100.0	0 2 2
2.236	45.2	0 0 4
2.209	73.3	1 2 0
2.187	82.3	1 1 3
2.033	63.0	2 0 0
1.980	68.0	1 2 2
1.959	35.1	1 0 4
1.514	57.6	2 2 2

Structural model:
```
data_Nd2Ni5Ir5
_cell_length_a 4.065
_cell_length_b 5.262
_cell_length_c 8.945
_cell_angle_alpha 90.00
_cell_angle_beta 90.00
_cell_angle_gamma 90.00
_space_group_name_H-M_alt 'P 1'
_space_group_IT_number 1
loop_
_space_group_symop_operation_xyz
'x,y,z'
loop_
_atom_site_label
_atom_site_type_symbol
_atom_site_fract_x
_atom_site_fract_y
_atom_site_fract_z
_atom_site_occupancy
Nd1 Nd 0.000 0.000 0.000 1
Nd2 Nd 0.000 0.500 0.500 1
Ni1 Ni 0.000 0.000 0.332 1
Ni2 Ni 0.000 0.000 0.668 1
Ni3 Ni 0.000 0.500 0.157 1
Ni4 Ni 0.000 0.500 0.843 1
Ni5 Ni 0.500 0.500 0.000 1
Ir1 Ir 0.500 0.000 0.500 1
Ir2 Ir 0.500 0.253 0.246 1
Ir3 Ir 0.500 0.253 0.754 1
Ir4 Ir 0.500 0.747 0.246 1
Ir5 Ir 0.500 0.747 0.754 1
```

=====

What did the second record say?
Calculated X-ray powder pattern
Compound: La8Ag2Os3
Radiation: Cu Ka
Structure: a cell relaxed with GGA-PBE
Lines closer than 0.1° are merged.

Principal peaks in the range 5 to 70 degrees two-theta, in order of rising 2θ:
d_spacing	I_rel	(hkl)
7.580	26.6	1 0 -1
4.221	17.9	2 0 0
2.608	100.0	1 1 -3
2.541	50.1	0 2 0
2.067	12.5	4 1 -2
1.895	7.7	4 0 -4
1.797	17.7	2 2 2
1.519	11.3	2 0 -6
1.480	26.4	1 3 -3
1.478	8.6	5 1 1

Structural model:
```
data_La8Ag2Os3
_cell_length_a 9.117
_cell_length_b 5.082
_cell_length_c 9.133
_cell_angle_alpha 90.00
_cell_angle_beta 112.32
_cell_angle_gamma 90.00
_space_group_name_H-M_alt 'P 1'
_space_group_IT_number 1
loop_
_space_group_symop_operation_xyz
'x,y,z'
loop_
_atom_site_label
_atom_site_type_symbol
_atom_site_fract_x
_atom_site_fract_y
_atom_site_fract_z
_atom_site_occupancy
La1 La 0.108 0.000 0.391 1
La2 La 0.142 0.500 0.864 1
La3 La 0.363 0.500 0.642 1
La4 La 0.386 0.000 0.114 1
La5 La 0.614 0.000 0.886 1
La6 La 0.637 0.500 0.358 1
La7 La 0.858 0.500 0.136 1
La8 La 0.892 0.000 0.609 1
Ag1 Ag 0.246 0.500 0.255 1
Ag2 Ag 0.754 0.500 0.745 1
Os1 Os 0.247 0.000 0.747 1
Os2 Os 0.500 0.500 0.000 1
Os3 Os 0.753 0.000 0.253 1
```